This entry pairs a crystal structure of BaNaP3H6O12 with its calculated powder diffractogram. Radiation: a wavelength of 1.5418 Å. Structure: DFT lattice parameters and positions (PBE).

Cell and atoms:
```
BaNaP3H6O12
1.0
7.135 0.000 0.000
2.017 8.866 0.000
1.189 4.339 9.102
Ba Na P H O
2 2 6 12 24
Cartesian
1.098 3.465 2.689
9.243 9.740 6.413
2.899 5.937 5.688
7.443 7.268 3.414
2.623 6.577 0.792
3.583 8.257 2.981
4.542 5.517 2.690
5.799 7.688 6.412
6.759 4.949 6.121
7.719 6.629 8.310
3.214 7.164 8.761
2.697 2.880 5.664
4.988 12.219 7.580
4.610 10.509 4.612
3.476 3.193 0.103
4.365 3.665 6.831
5.977 9.540 2.271
6.866 10.012 8.999
5.731 2.697 4.490
5.354 0.987 1.522
7.644 10.325 3.438
7.128 6.042 0.341
8.935 7.184 7.606
1.406 6.021 1.496
2.517 7.990 4.007
3.794 11.082 8.411
3.016 7.997 1.476
4.103 11.212 5.072
2.611 2.911 0.451
4.291 9.577 2.946
3.508 4.873 3.565
3.391 3.844 6.830
4.418 8.238 6.519
3.946 5.676 1.169
4.737 7.098 3.095
5.605 6.107 6.007
6.396 7.529 7.933
5.923 4.968 2.583
6.951 9.362 2.272
6.834 8.332 5.537
6.051 3.628 6.156
7.731 10.294 8.651
6.238 1.994 4.029
7.326 5.208 7.626
6.547 2.124 0.691
7.824 5.215 5.095
```

Principal peaks in the range 2θ from 5° to 70°, by intensity:
- 2θ = 12.73°, d = 6.955 Å, intensity 100.0
- 2θ = 23.41°, d = 3.799 Å, intensity 81.3
- 2θ = 28.27°, d = 3.157 Å, intensity 66.4
- 2θ = 18.63°, d = 4.763 Å, intensity 66.0
- 2θ = 11.08°, d = 7.982 Å, intensity 65.4
- 2θ = 27.76°, d = 3.213 Å, intensity 65.1
- 2θ = 19.51°, d = 4.551 Å, intensity 63.3
- 2θ = 29.60°, d = 3.018 Å, intensity 60.2
- 2θ = 29.14°, d = 3.065 Å, intensity 46.9
- 2θ = 41.10°, d = 2.196 Å, intensity 44.5

This entry pairs a crystal structure of BaNaH6Pt with its calculated powder diffractogram. Radiation: a wavelength of 1.5418 Å. Structure: DFT lattice parameters and positions (PBE).

Cell and atoms:
```
BaNaH6Pt
1.0
5.192 0.000 0.000
-2.596 4.497 0.000
0.000 0.000 4.965
Ba Na H Pt
1 1 6 1
Cartesian
0.000 0.000 0.000
0.000 2.998 2.485
1.379 0.796 2.661
2.596 0.119 0.728
1.401 2.189 0.728
3.814 0.796 2.661
2.596 2.905 2.661
3.791 2.189 0.728
2.596 1.499 1.730
```

Principal peaks in the range 2θ from 5° to 70°, by intensity:
- 2θ = 26.75°, d = 3.333 Å, intensity 100.0
- 2θ = 34.55°, d = 2.596 Å, intensity 44.0
- 2θ = 19.74°, d = 4.497 Å, intensity 32.6
- 2θ = 41.56°, d = 2.173 Å, intensity 27.1
- 2θ = 44.22°, d = 2.048 Å, intensity 26.3
- 2θ = 57.30°, d = 1.608 Å, intensity 24.2
- 2θ = 17.87°, d = 4.965 Å, intensity 15.8
- 2θ = 66.70°, d = 1.402 Å, intensity 13.7
- 2θ = 39.16°, d = 2.301 Å, intensity 12.7
- 2θ = 55.11°, d = 1.666 Å, intensity 12.1

This entry pairs a crystal structure of Ba2NaH6Ru with its calculated powder diffractogram. Radiation: a wavelength of 1.5418 Å. Structure: DFT lattice parameters and positions (PBE).

Cell and atoms:
```
Ba2NaH6Ru
1.0
5.666 0.000 0.000
-2.833 4.907 0.000
0.000 0.000 5.969
Ba Na H Ru
2 1 6 1
Cartesian
0.000 3.272 1.901
2.833 1.636 4.068
0.000 0.000 0.000
0.000 1.427 3.995
-1.597 4.194 3.995
1.236 0.714 1.973
1.597 4.194 3.995
4.430 0.714 1.973
2.833 3.480 1.973
0.000 0.000 2.984
```

Principal peaks in the range 2θ from 5° to 70°, by intensity:
- 2θ = 23.47°, d = 3.791 Å, intensity 100.0
- 2θ = 31.58°, d = 2.833 Å, intensity 83.2
- 2θ = 35.20°, d = 2.550 Å, intensity 61.0
- 2θ = 14.84°, d = 5.969 Å, intensity 43.5
- 2θ = 58.58°, d = 1.576 Å, intensity 34.1
- 2θ = 35.06°, d = 2.560 Å, intensity 29.1
- 2θ = 39.72°, d = 2.269 Å, intensity 26.7
- 2θ = 48.00°, d = 1.895 Å, intensity 26.0
- 2θ = 51.60°, d = 1.771 Å, intensity 23.1
- 2θ = 56.24°, d = 1.636 Å, intensity 15.7